The following is a theoretical powder diffraction line list of LiNiPHO5. It was derived from a DFT-relaxed cell (PBE+U, Alexandria), using a wavelength of 1.5418 Å.

Cell and atoms:
```
data_LiNiPHO5
_symmetry_space_group_name_H-M 'P -1'
_symmetry_Int_Tables_number 2
_symmetry_space_group_name_Hall '-P 1'
_cell_length_a 5.146
_cell_length_b 5.433
_cell_length_c 7.126
_cell_angle_alpha 106.67
_cell_angle_beta 108.16
_cell_angle_gamma 99.49
loop_
_atom_site_label
_atom_site_fract_x
_atom_site_fract_y
_atom_site_fract_z
Li1 0.249 0.112 0.180
Ni1 0.000 0.500 0.000
Ni2 0.000 0.500 0.500
P1 0.325 0.135 0.764
H1 0.350 0.582 0.347
O1 0.117 0.155 0.881
O2 0.152 0.459 0.275
O3 0.281 0.280 0.605
O4 0.314 0.836 0.660
O5 0.363 0.754 0.068
```

Top 8 peaks for 10 to 90 degrees two-theta, most intense first:
27.4 deg, d = 3.252 Å, rel. 100
29.5 deg, d = 3.026 Å, rel. 51
18.9 deg, d = 4.695 Å, rel. 35
35.7 deg, d = 2.517 Å, rel. 29
17.7 deg, d = 4.998 Å, rel. 28
22.1 deg, d = 4.030 Å, rel. 26
25.8 deg, d = 3.452 Å, rel. 15
18.8 deg, d = 4.724 Å, rel. 15